[1]
The following is a simulated powder X-ray diffraction pattern of Ba2LiAl. It was derived from a cell relaxed with GGA-PBE, using Cu Ka.

Crystal structure
Unit cell a=8.4091 b=8.4282 c=4.2660 alpha=90.00 beta=90.00 gamma=90.00
Space group Cmmm (No. 65)
Inequivalent atoms, fractional coordinates:
Ba (0.2500, 0.2500, 0.0000)
Li (0.0000, 0.0000, 0.5000)
Al (0.0000, 0.5000, 0.5000)

Peak list (8 most intense, 10 to 80 degrees two-theta, in order of rising 2θ)
two_theta	intensity	index
20.82	37	0 0 1
21.11	71	2 0 0
29.82	100	2 0 1
30.02	49	2 2 0
36.82	34	2 2 1
47.80	16	2 0 2
52.80	20	2 2 2
53.18	39	4 2 1

[2]
The following is a simulated powder X-ray diffraction pattern of PaSn7. It was derived from a cell relaxed with GGA-PBE, using Cu Ka.

Crystal structure
Unit cell a=9.4298 b=9.4298 c=9.4298 alpha=90.00 beta=90.00 gamma=90.00
Space group Fm-3m (No. 225)
Inequivalent atoms, fractional coordinates:
Pa (0.0000, 0.0000, 0.0000)
Sn (0.0000, 0.0000, 0.5000)
Sn (0.0000, 0.2500, 0.2500)

Peak list (8 most intense, 10 to 80 degrees two-theta, in order of rising 2θ)
two_theta	intensity	index
16.28	5	1 1 1
18.82	3	2 0 0
31.46	3	3 1 1
32.90	100	2 2 2
38.18	51	4 0 0
55.09	36	4 4 0
65.68	43	6 2 2
69.00	13	4 4 4

[3]
The following is a simulated powder X-ray diffraction pattern of Ac2Ge3AsPd4. It was derived from a cell relaxed with GGA-PBE, using Cu Ka.

Crystal structure
Unit cell a=4.5326 b=4.5326 c=10.1265 alpha=90.00 beta=90.00 gamma=90.00
Space group P-4m2 (No. 115)
Inequivalent atoms, fractional coordinates:
Ac (0.0000, 0.5000, 0.2478)
Ge (0.0000, 0.0000, 0.0000)
Ge (0.0000, 0.5000, 0.6241)
As (0.5000, 0.5000, 0.0000)
Pd (0.0000, 0.0000, 0.5000)
Pd (0.0000, 0.5000, 0.8760)
Pd (0.5000, 0.5000, 0.5000)

Peak list (8 most intense, 10 to 80 degrees two-theta, in order of rising 2θ)
two_theta	intensity	index
27.84	13	1 1 0
33.08	100	1 1 2
39.77	37	2 0 0
49.28	14	1 0 5
52.67	24	2 1 3
57.51	12	2 2 0
65.10	14	2 1 5
67.97	20	3 1 2

[4]
The following is a simulated powder X-ray diffraction pattern of SrInSnRh. It was derived from a cell relaxed with GGA-PBE, using Cu Ka.

Crystal structure
Unit cell a=4.6459 b=4.6459 c=17.1533 alpha=90.00 beta=90.00 gamma=120.00
Space group R3m (No. 160, hexagonal axes)
Inequivalent atoms, fractional coordinates:
Sr (0.0000, 0.0000, 0.0000)
In (0.0000, 0.0000, 0.4525)
Sn (0.0000, 0.0000, 0.2060)
Rh (0.0000, 0.0000, 0.8207)

Peak list (8 most intense, 10 to 80 degrees two-theta, in order of rising 2θ)
two_theta	intensity	index
15.50	57	0 0 3
30.46	41	1 0 4
34.35	90	0 1 5
38.76	100	1 1 0
41.98	28	1 1 3
48.08	22	0 1 8
52.75	26	2 0 5
67.35	25	1 2 5

[5]
The following is a simulated powder X-ray diffraction pattern of BaTbSi. It was derived from a cell relaxed with GGA-PBE, using Cu Ka.

Crystal structure
Unit cell a=5.0755 b=5.0755 c=7.6864 alpha=90.00 beta=90.00 gamma=90.00
Space group P4/nmm (No. 129, origin choice 2)
Inequivalent atoms, fractional coordinates:
Ba (0.2500, 0.2500, 0.1343)
Tb (0.2500, 0.7500, 0.5000)
Si (0.2500, 0.2500, 0.6940)

Peak list (8 most intense, 10 to 80 degrees two-theta, in order of rising 2θ)
two_theta	intensity	index
11.51	21	0 0 1
27.43	100	1 1 1
29.15	35	1 0 2
34.18	39	1 1 2
35.37	47	2 0 0
50.63	19	2 0 3
54.14	22	1 1 4
58.77	24	3 1 1

[6]
The following is a simulated powder X-ray diffraction pattern of Pr6Sm5. It was derived from a cell relaxed with GGA-PBE, using Cu Ka.

Crystal structure
Unit cell a=10.4439 b=13.7146 c=6.2505 alpha=90.00 beta=118.64 gamma=90.00
Space group C2/m (No. 12)
Inequivalent atoms, fractional coordinates:
Pr (0.1796, 0.0000, 0.0659)
Pr (0.1828, 0.1354, 0.5908)
Sm (0.0000, 0.2354, 0.0000)
Sm (0.0000, 0.3691, 0.5000)
Sm (0.0000, 0.5000, 0.0000)

Peak list (8 most intense, 10 to 80 degrees two-theta, in order of rising 2θ)
two_theta	intensity	index
28.83	28	2 0 -2
29.95	64	3 1 0
30.76	100	0 4 1
32.40	84	3 3 -1
32.64	31	0 0 2
44.90	18	3 3 1
51.48	19	2 4 -3
55.73	18	3 7 0

[7]
The following is a simulated powder X-ray diffraction pattern of CdBBrF4. It was derived from a cell relaxed with GGA-PBE, using Cu Ka.

Crystal structure
Unit cell a=11.0201 b=6.9772 c=8.0597 alpha=90.00 beta=120.04 gamma=90.00
Space group C2/m (No. 12)
Inequivalent atoms, fractional coordinates:
Cd (0.1535, 0.0000, 0.2117)
B (0.1129, 0.5000, 0.3145)
Br (0.1084, 0.0000, 0.8619)
F (0.0292, 0.5000, 0.8076)
F (0.1426, 0.5000, 0.5123)
F (0.1799, 0.3351, 0.2919)

Peak list (8 most intense, 10 to 80 degrees two-theta, in order of rising 2θ)
two_theta	intensity	index
15.74	51	1 1 0
16.44	34	2 0 -1
17.06	69	1 1 -1
25.53	100	0 2 0
27.46	26	3 1 -1
30.90	25	3 1 0
33.06	24	4 0 -1
37.21	25	1 1 -3